Diffraction record for AcVBO5. The powder diffractogram is theoretical, not measured: it uses DFT lattice parameters and positions (GGA+U) and CuKα.
Peak positions follow from Bragg's law for the DFT cell and can differ from measured ones.

Most intense lines, 2θ = 5–70°, by intensity:
18.9°, d = 4.687 Å, I = 100
24.4°, d = 3.648 Å, I = 75
33.8°, d = 2.650 Å, I = 70
29.4°, d = 3.042 Å, I = 63
28.1°, d = 3.179 Å, I = 60
25.5°, d = 3.495 Å, I = 50
34.4°, d = 2.610 Å, I = 46
42.4°, d = 2.134 Å, I = 30
40.3°, d = 2.236 Å, I = 30
27.6°, d = 3.237 Å, I = 29

Structural model:
a = 5.4882 Å, b = 5.4882 Å, c = 6.9323 Å
α = 102.26°, β = 102.26°, γ = 107.18°
Sites, in units of the cell vectors:
Ac  0.1546  0.8454  0.7500
Ac  0.8454  0.1546  0.2500
V  0.5000  0.5000  0.0000
V  0.5000  0.5000  0.5000
B  0.1923  0.8077  0.2500
B  0.8077  0.1923  0.7500
O  0.0871  0.2626  0.9002
O  0.1978  0.6192  0.3792
O  0.2626  0.0871  0.4002
O  0.3808  0.8022  0.1208
O  0.4368  0.5632  0.7500
O  0.5632  0.4368  0.2500
O  0.6192  0.1978  0.8792
O  0.7374  0.9129  0.5998
O  0.8022  0.3808  0.6208
O  0.9129  0.7374  0.0998